# 1
Starting from a crystal structure in Alexandria, relaxed with GGA-PBE, the powder X-ray diffraction pattern of Ni8H4Rh was computed for Cu Kα, 1.54184 Å.
Intensities are scaled so that the largest is 100.

Crystal structure
Unit cell a=12.769 b=2.590 c=8.702 alpha=90.00 beta=130.22 gamma=90.00
Space group C2/m (No. 12)
Asymmetric unit:
Ni: 0.037 0.000 0.239 x4
Ni: 0.129 0.500 0.092 x4
Ni: 0.166 0.500 0.832 x4
Ni: 0.203 0.500 0.577 x4
H: 0.147 0.000 0.967 x4
H: 0.163 0.500 0.327 x4
Rh: 0.000 0.000 0.500 x2

Main lines, low angle first (2θ from 10° to 80°):
d/Å	2θ/deg	I/Imax
2.224	40.56	42
2.215	40.74	20
2.114	42.77	77
2.026	44.74	100
2.020	44.87	50
1.931	47.06	85
1.922	47.29	42
1.631	56.40	16
1.449	64.27	15
1.295	73.05	15
1.289	73.45	28
1.225	78.02	26

=====

# 2
Starting from a crystal structure in Alexandria, relaxed with GGA-PBE, the powder X-ray diffraction pattern of NiH2Rh was computed for Cu Kα, 1.54184 Å.
Intensities are scaled so that the largest is 100.

Crystal structure
Unit cell a=5.563 b=4.696 c=4.571 alpha=90.00 beta=90.00 gamma=90.00
Space group Pbcm (No. 57)
Asymmetric unit:
Ni: 0.117 0.081 0.250 x4
H: 0.119 0.750 0.000 x4
H: 0.330 0.250 0.000 x4
Rh: 0.367 0.576 0.250 x4

Main lines, low angle first (2θ from 10° to 80°):
d/Å	2θ/deg	I/Imax
2.822	31.70	10
2.393	37.59	19
2.348	38.34	13
2.286	39.43	39
2.120	42.65	100
2.088	43.32	42
1.653	55.61	13
1.638	56.16	9
1.391	67.33	8
1.364	68.83	15
1.285	73.71	18
1.278	74.19	8

=====

# 3
Starting from a crystal structure in Alexandria, relaxed with GGA-PBE, the powder X-ray diffraction pattern of Ni2H5Rh was computed for Cu Kα, 1.54184 Å.
Intensities are scaled so that the largest is 100.

Crystal structure
Unit cell a=7.548 b=5.779 c=4.668 alpha=90.00 beta=90.00 gamma=90.00
Space group Pnma (No. 62)
Asymmetric unit:
Ni: 0.177 0.031 0.047 x8
H: 0.010 0.250 0.958 x4
H: 0.106 0.527 0.682 x8
H: 0.192 0.250 0.316 x4
H: 0.218 0.750 0.352 x4
Rh: 0.014 0.250 0.580 x4

Main lines, low angle first (2θ from 10° to 80°):
d/Å	2θ/deg	I/Imax
3.970	22.39	11
3.631	24.51	12
2.617	34.27	16
2.336	38.55	100
2.294	39.27	55
2.215	40.74	70
2.080	43.50	23
1.636	56.22	17
1.580	58.41	9
1.396	67.05	9
1.286	73.65	15
1.210	79.14	18

=====

# 4
Starting from a crystal structure in Alexandria, relaxed with GGA-PBE, the powder X-ray diffraction pattern of NiH7Rh3 was computed for Cu Kα, 1.54184 Å.
Intensities are scaled so that the largest is 100.

Crystal structure
Unit cell a=8.307 b=5.975 c=6.216 alpha=90.00 beta=90.00 gamma=90.00
Space group Cmcm (No. 63)
Asymmetric unit:
Ni: 0.000 0.000 0.000 x4
H: 0.000 0.091 0.250 x4
H: 0.128 0.493 0.250 x8
H: 0.129 0.228 0.522 x16
Rh: 0.000 0.500 0.000 x4
Rh: 0.231 0.225 0.250 x8

Main lines, low angle first (2θ from 10° to 80°):
d/Å	2θ/deg	I/Imax
2.488	36.10	100
2.425	37.07	89
2.154	41.95	62
2.077	43.58	26
1.554	59.49	12
1.495	62.10	43
1.308	72.20	24
1.281	74.02	19
1.265	75.12	8
1.256	75.72	8
1.244	76.58	9
1.212	78.96	9

=====

# 5
Starting from a crystal structure in Alexandria, relaxed with GGA-PBE, the powder X-ray diffraction pattern of Ni2H7Rh2 was computed for Cu Kα, 1.54184 Å.
Intensities are scaled so that the largest is 100.

Crystal structure
Unit cell a=8.381 b=8.381 c=8.381 alpha=90.00 beta=90.00 gamma=90.00
Space group Fd-3m (No. 227, origin choice 2)
Asymmetric unit:
Ni: 0.000 0.000 0.000 x16
H: 0.106 0.375 0.375 x48
H: 0.125 0.125 0.625 x8
Rh: 0.000 0.000 0.500 x16

Main lines, low angle first (2θ from 10° to 80°):
d/Å	2θ/deg	I/Imax
4.839	18.34	9
2.527	35.53	4
2.419	37.16	100
2.095	43.18	46
1.923	47.28	2
1.613	57.11	2
1.481	62.71	31
1.417	65.94	2
1.278	74.20	1
1.263	75.21	35
1.210	79.18	10

=====

# 6
Starting from a crystal structure in Alexandria, relaxed with GGA-PBE, the powder X-ray diffraction pattern of Ni4H3Rh was computed for Cu Kα, 1.54184 Å.
Intensities are scaled so that the largest is 100.

Crystal structure
Unit cell a=9.104 b=4.550 c=6.751 alpha=90.00 beta=112.28 gamma=90.00
Space group Cc (No. 9)
Asymmetric unit:
Ni: 0.000 0.162 0.000 x4
Ni: 0.202 0.166 0.404 x4
Ni: 0.302 0.330 0.105 x4
Ni: 0.402 0.173 0.801 x4
H: 0.194 0.011 0.151 x4
H: 0.308 0.496 0.355 x4
H: 0.403 0.012 0.545 x4
Rh: 0.100 0.338 0.702 x4

Main lines, low angle first (2θ from 10° to 80°):
d/Å	2θ/deg	I/Imax
2.273	39.65	69
2.168	41.65	81
2.025	44.76	100
2.015	45.00	99
2.001	45.32	96
1.580	58.41	15
1.570	58.83	15
1.313	71.91	30
1.311	72.02	15
1.228	77.80	18
1.220	78.37	17
1.212	79.01	17

=====

# 7
Starting from a crystal structure in Alexandria, relaxed with GGA-PBE, the powder X-ray diffraction pattern of Ni5H12Rh was computed for Cu Kα, 1.54184 Å.
Intensities are scaled so that the largest is 100.

Crystal structure
Unit cell a=4.451 b=7.708 c=8.424 alpha=90.00 beta=91.47 gamma=90.00
Space group C2/m (No. 12)
Asymmetric unit:
Ni: 0.000 0.000 0.000 x2
Ni: 0.000 0.167 0.500 x4
Ni: 0.000 0.333 0.000 x4
H: 0.154 0.000 0.393 x4
H: 0.165 0.330 0.393 x8
H: 0.171 0.167 0.098 x8
H: 0.172 0.500 0.099 x4
Rh: 0.000 0.500 0.500 x2

Main lines, low angle first (2θ from 10° to 80°):
d/Å	2θ/deg	I/Imax
4.211	21.10	100
2.225	40.55	17
2.158	41.86	30
2.144	42.14	30
2.105	42.96	14
1.988	45.63	12
1.947	46.66	11
1.755	52.12	16
1.733	52.83	15
1.549	59.69	5
1.351	69.57	6
1.335	70.56	6

=====

# 8
Starting from a crystal structure in Alexandria, relaxed with GGA-PBE, the powder X-ray diffraction pattern of Ta2NiHRh was computed for Cu Kα, 1.54184 Å.
Intensities are scaled so that the largest is 100.

Crystal structure
Unit cell a=4.059 b=4.059 c=3.827 alpha=90.00 beta=90.00 gamma=90.00
Space group P4/mmm (No. 123)
Asymmetric unit:
Ta: 0.000 0.500 0.000 x2
Ni: 0.000 0.000 0.500 x1
H: 0.000 0.000 0.000 x1
Rh: 0.500 0.500 0.500 x1

Main lines, low angle first (2θ from 10° to 80°):
d/Å	2θ/deg	I/Imax
3.827	23.24	12
2.870	31.16	11
2.296	39.23	100
2.030	44.65	35
1.913	47.52	15
1.793	50.93	6
1.592	57.92	4
1.435	64.98	11
1.392	67.24	20
1.344	70.01	3
1.284	73.82	2
1.217	78.61	26

=====

# 9
Starting from a crystal structure in Alexandria, relaxed with GGA-PBE, the powder X-ray diffraction pattern of ThNiH8Rh2 was computed for Cu Kα, 1.54184 Å.
Intensities are scaled so that the largest is 100.

Crystal structure
Unit cell a=4.6443 b=4.6443 c=16.2209 alpha=90.00 beta=90.00 gamma=120.00
Space group R-3 (No. 148, hexagonal axes)
Asymmetric unit:
Th: 0.0000 0.0000 0.0000 x3
Ni: 0.0000 0.0000 0.5000 x3
H: 0.0000 0.0000 0.3185 x6
H: 0.0029 0.6285 0.2161 x18
Rh: 0.0000 0.0000 0.2150 x6

Main lines, low angle first (2θ from 10° to 80°):
d/Å	2θ/deg	I/Imax
3.904	22.78	49
2.856	31.32	100
2.525	35.55	47
2.322	38.78	78
1.811	50.40	9
1.802	50.66	33
1.762	51.91	16
1.709	53.62	15
1.504	61.66	14
1.424	65.58	41
1.377	68.12	15
1.341	70.20	14

=====

# 10
Starting from a crystal structure in Alexandria, relaxed with GGA-PBE, the powder X-ray diffraction pattern of SmNiH6Ru was computed for Cu Kα, 1.54184 Å.
Intensities are scaled so that the largest is 100.

Crystal structure
Unit cell a=4.5680 b=4.5680 c=4.2869 alpha=90.00 beta=90.00 gamma=120.00
Space group P-6m2 (No. 187)
Asymmetric unit:
Sm: 0.0000 0.0000 0.0000 x1
Ni: 0.3333 0.6667 0.5000 x1
H: 0.0010 0.5005 0.2396 x6
Ru: 0.6667 0.3333 0.5000 x1

Main lines, low angle first (2θ from 10° to 80°):
d/Å	2θ/deg	I/Imax
3.956	22.47	9
2.907	30.75	100
2.284	39.45	45
2.143	42.16	12
1.978	45.88	2
1.885	48.29	3
1.796	50.84	24
1.563	59.11	28
1.412	66.19	22
1.344	70.00	9
1.319	71.55	8
1.226	77.90	2

=====

# 11
Starting from a crystal structure in Alexandria, relaxed with GGA-PBE, the powder X-ray diffraction pattern of TiNi2HRu was computed for Cu Kα, 1.54184 Å.
Intensities are scaled so that the largest is 100.

Crystal structure
Unit cell a=3.611 b=3.611 c=4.033 alpha=90.00 beta=90.00 gamma=90.00
Space group P4/mmm (No. 123)
Asymmetric unit:
Ti: 0.000 0.000 0.000 x1
Ni: 0.000 0.500 0.500 x2
H: 0.000 0.000 0.500 x1
Ru: 0.500 0.500 0.000 x1

Main lines, low angle first (2θ from 10° to 80°):
d/Å	2θ/deg	I/Imax
4.033	22.04	1
3.611	24.65	8
2.690	33.30	8
2.157	41.87	100
2.016	44.96	21
1.806	50.55	29
1.760	51.94	2
1.615	57.02	2
1.499	61.89	3
1.345	69.94	20
1.277	74.28	8
1.260	75.43	2

=====

# 12
Starting from a crystal structure in Alexandria, relaxed with GGA-PBE, the powder X-ray diffraction pattern of Ni5H5S was computed for Cu Kα, 1.54184 Å.
Intensities are scaled so that the largest is 100.

Crystal structure
Unit cell a=4.375 b=4.397 c=5.694 alpha=83.63 beta=74.26 gamma=61.00
Space group P-1 (No. 2)
Asymmetric unit:
Ni: 0.000 0.000 0.000 x1
Ni: 0.210 0.453 0.765 x2
Ni: 0.400 0.230 0.338 x2
H: 0.113 0.151 0.237 x2
H: 0.225 0.135 0.621 x2
H: 0.500 0.500 0.500 x1
S: 0.500 0.500 0.000 x1

Main lines, low angle first (2θ from 10° to 80°):
d/Å	2θ/deg	I/Imax
3.502	25.43	100
3.435	25.94	48
2.780	32.20	68
2.206	40.91	84
2.197	41.09	35
2.182	41.37	50
2.105	42.96	63
1.993	45.50	85
1.933	47.00	64
1.905	47.73	40
1.828	49.89	98
1.718	53.34	48